VPdRh: simulated PXRD pattern (Cu Ka), based on a crystal structure in Alexandria, relaxed with PBE.
Lines closer than 0.1° are merged.

The 8 most intense peaks (2θ from 5° to 70°), by intensity:
2theta  d/Å  I (rel.)
43.2  2.093  100
43.9  2.062  38
41.2  2.190  36
37.8  2.383  18
38.5  2.337  16
69.2  1.358  14
24.0  3.715  11
57.1  1.612  11

Crystal structure
Cell: 7.147 7.147 4.381 Å, 90.00 90.00 157.66°
Fractional coordinates of all 6 atoms:
V 0.105 0.895 0.750
V 0.895 0.105 0.250
Pd 0.226 0.774 0.250
Pd 0.774 0.226 0.750
Rh 0.444 0.556 0.750
Rh 0.556 0.444 0.250

=====

Y4PdRh2: simulated PXRD pattern (Cu Ka), based on a crystal structure in Alexandria, relaxed with PBE.
Lines closer than 0.1° are merged.

The 8 most intense peaks (2θ from 5° to 70°), by intensity:
2theta  d/Å  I (rel.)
32.6  2.749  100
38.8  2.321  54
32.8  2.734  49
66.3  1.410  24
53.9  1.700  23
38.9  2.315  22
49.3  1.850  18
46.8  1.943  14

Crystal structure
Cell: 7.514 7.514 8.695 Å, 125.35 125.35 70.19°
Fractional coordinates of all 14 atoms:
Y 0.062 0.062 0.248
Y 0.323 0.551 0.623
Y 0.449 0.677 0.377
Y 0.451 0.177 0.876
Y 0.564 0.064 0.252
Y 0.823 0.549 0.124
Y 0.936 0.436 0.748
Y 0.938 0.938 0.752
Pd 0.068 0.932 0.500
Pd 0.319 0.681 0.000
Rh 0.193 0.307 0.120
Rh 0.565 0.179 0.622
Rh 0.693 0.807 0.880
Rh 0.821 0.435 0.378

=====

Zn4Pd3Rh: simulated PXRD pattern (Cu Ka), based on a crystal structure in Alexandria, relaxed with PBE.
Lines closer than 0.1° are merged.

The 8 most intense peaks (2θ from 5° to 70°), by intensity:
2theta  d/Å  I (rel.)
41.5  2.174  100
42.5  2.126  47
61.7  1.503  15
58.7  1.573  9
29.7  3.006  5
28.4  3.146  3
51.9  1.761  2
67.2  1.394  1

Crystal structure
Cell: 3.146 4.255 8.497 Å, 90.00 90.00 90.00°
Fractional coordinates of all 8 atoms:
Zn 0.000 0.000 0.000
Zn 0.000 0.000 0.500
Zn 0.000 0.500 0.246
Zn 0.000 0.500 0.754
Pd 0.500 0.000 0.252
Pd 0.500 0.000 0.748
Pd 0.500 0.500 0.500
Rh 0.500 0.500 0.000

=====

ZnPdRh: simulated PXRD pattern (Cu Ka), based on a crystal structure in Alexandria, relaxed with PBE.
Lines closer than 0.1° are merged.

The 8 most intense peaks (2θ from 5° to 70°), by intensity:
2theta  d/Å  I (rel.)
40.5  2.229  100
46.8  1.942  65
40.0  2.256  52
40.8  2.213  49
47.5  1.914  31
68.3  1.373  20
69.4  1.353  19
68.2  1.376  10

Crystal structure
Cell: 4.753 4.753 4.669 Å, 99.18 99.18 119.89°
Fractional coordinates of all 6 atoms:
Zn 0.000 0.000 0.000
Zn 0.669 0.331 0.000
Pd 0.164 0.836 0.500
Pd 0.337 0.663 0.000
Rh 0.504 0.496 0.500
Rh 0.833 0.167 0.500

=====

ZrPdRh: simulated PXRD pattern (Cu Ka), based on a crystal structure in Alexandria, relaxed with PBE.
Lines closer than 0.1° are merged.

The 8 most intense peaks (2θ from 5° to 70°), by intensity:
2theta  d/Å  I (rel.)
38.5  2.338  100
41.8  2.163  19
44.6  2.030  17
47.7  1.905  14
62.8  1.480  11
65.3  1.430  10
67.4  1.389  9
13.6  6.488  1

Crystal structure
Cell: 6.798 6.798 3.811 Å, 90.00 90.00 145.26°
Fractional coordinates of all 6 atoms:
Zr 0.156 0.844 0.000
Zr 0.844 0.156 0.000
Pd 0.000 0.000 0.500
Pd 0.500 0.500 0.000
Rh 0.333 0.667 0.500
Rh 0.667 0.333 0.500

=====

Zr6Pd5Rh: simulated PXRD pattern (Cu Ka), based on a crystal structure in Alexandria, relaxed with PBE.
Lines closer than 0.1° are merged.

The 8 most intense peaks (2θ from 5° to 70°), by intensity:
2theta  d/Å  I (rel.)
37.1  2.422  100
38.8  2.321  48
37.9  2.373  47
38.1  2.365  44
39.9  2.259  39
55.6  1.652  17
51.3  1.780  16
68.6  1.368  16

Crystal structure
Cell: 4.646 7.119 7.912 Å, 116.53 104.96 90.11°
Fractional coordinates of all 12 atoms:
Zr 0.010 0.264 0.039
Zr 0.329 0.574 0.648
Zr 0.338 0.088 0.688
Zr 0.662 0.912 0.312
Zr 0.671 0.426 0.352
Zr 0.990 0.736 0.961
Pd 0.169 0.701 0.329
Pd 0.175 0.135 0.338
Pd 0.500 0.500 0.000
Pd 0.825 0.865 0.662
Pd 0.831 0.299 0.671
Rh 0.500 0.000 0.000